Starting from a cell relaxed with GGA+U, the powder X-ray diffraction pattern of VPd2O was calculated for copper Kα.

Top 12 peaks for 2θ = 10–90°, by angle:
26.1 deg, 3.417 Å, I 12; 30.6 deg, 2.920 Å, I 13; 34.1 deg, 2.632 Å, I 100; 34.3 deg, 2.612 Å, I 49; 40.6 deg, 2.220 Å, I 18; 46.4 deg, 1.955 Å, I 31; 49.3 deg, 1.847 Å, I 21; 51.1 deg, 1.786 Å, I 22; 56.8 deg, 1.620 Å, I 16; 61.3 deg, 1.512 Å, I 13; 67.4 deg, 1.389 Å, I 15; 74.3 deg, 1.277 Å, I 10

Atomic structure:
```
data_VPd2O
_chemical_formula_sum 'V4 Pd8 O4'
_cell_length_a 8.260
_cell_length_b 8.260
_cell_length_c 3.753
_cell_angle_alpha 90.00
_cell_angle_beta 90.00
_cell_angle_gamma 90.00
_symmetry_space_group_name_H-M 'I -4 2 d'
_symmetry_Int_Tables_number 122
_symmetry_space_group_name_Hall 'I -4 2bw'
loop_
_atom_site_label
_atom_site_type_symbol
_atom_site_fract_x
_atom_site_fract_y
_atom_site_fract_z
_atom_site_occupancy
V1 V 0.000 0.000 0.000 1
Pd1 Pd 0.133 0.250 0.625 1
O1 O 0.000 0.000 0.500 1
```